Calculated powder diffraction line list of Na2NiPCO7 for Cu Kα (λ = 1.5418 Å), from a DFT-relaxed cell (GGA+U, Alexandria).
No peak broadening, texture or thermal motion is included.

Structure:
abc: 9.2364 6.5304 10.2514
angles: 90.00 90.43 90.00
Space group Pc (No. 7)
Inequivalent atoms, fractional coordinates:
Na (0.0000, 0.0074, 0.0000) x2
Na (0.3563, 0.2649, 0.4815) x2
Na (0.3602, 0.2609, 0.9686) x2
Na (0.8493, 0.2347, 0.7315) x2
Ni (0.4519, 0.0095, 0.2044) x2
Ni (0.7326, 0.4995, 0.4869) x2
P (0.5266, 0.4951, 0.7395) x2
P (0.6722, 0.0012, 0.4515) x2
C (0.0487, 0.4626, 0.4617) x2
C (0.1811, 0.0083, 0.2413) x2
O (0.0318, 0.3535, 0.5651) x2
O (0.0468, 0.0013, 0.2654) x2
O (0.1780, 0.4897, 0.9293) x2
O (0.2327, 0.0142, 0.1235) x2
O (0.2790, 0.0107, 0.3347) x2
O (0.4331, 0.3055, 0.7014) x2
O (0.4362, 0.3201, 0.1903) x2
O (0.5244, 0.0023, 0.0218) x2
O (0.5423, 0.4962, 0.3913) x2
O (0.6389, 0.0042, 0.3025) x2
O (0.6780, 0.4868, 0.6767) x2
O (0.7650, 0.1883, 0.4931) x2
O (0.7672, 0.1893, 0.9815) x2
O (0.9389, 0.4787, 0.8946) x2

Most intense lines, 2θ = 15–90°, by angle:
index  2θ (°)  d (Å)  I (rel.)
1 1 0  16.63  5.332  62
1 0 -2  19.75  4.496  46
1 0 2  19.87  4.468  50
2 0 -2  25.87  3.444  49
0 2 0  27.31  3.265  100
2 2 0  33.62  2.666  49
3 0 -2  33.89  2.645  85
1 2 2  34.02  2.635  53
0 0 4  35.01  2.563  67
3 1 2  36.84  2.440  45